# 1
Theoretical powder XRD pattern of Nd4SmOs2 for Cu Kα, 1.54184 Å, from a PBE-relaxed structure.
Intensities are scaled so that the largest is 100.

Principal peaks in the range 5 to 70 degrees two-theta, sorted by position:
| d_spacing | two_theta | Rel. int. |
| --- | --- | --- |
| 3.292 | 27.09 | 76 |
| 2.979 | 29.99 | 68 |
| 2.953 | 30.27 | 89 |
| 2.914 | 30.68 | 58 |
| 2.665 | 33.63 | 62 |
| 2.655 | 33.76 | 91 |
| 2.542 | 35.31 | 60 |
| 2.535 | 35.41 | 92 |
| 2.468 | 36.40 | 100 |
| 2.382 | 37.77 | 56 |
| 2.310 | 38.99 | 64 |
| 1.646 | 55.86 | 61 |

Crystal structure
a = 8.008 Å, b = 6.584 Å, c = 8.072 Å
α = 90.00°, β = 112.43°, γ = 90.00°
Sites, in units of the cell vectors:
Nd (0.021, 0.250, 0.376)
Nd (0.241, 0.750, 0.322)
Nd (0.417, 0.003, 0.761)
Nd (0.417, 0.497, 0.761)
Nd (0.583, 0.503, 0.239)
Nd (0.583, 0.997, 0.239)
Nd (0.759, 0.250, 0.678)
Nd (0.979, 0.750, 0.624)
Sm (0.158, 0.250, 0.031)
Sm (0.842, 0.750, 0.969)
Os (0.253, 0.750, 0.981)
Os (0.376, 0.250, 0.408)
Os (0.624, 0.750, 0.592)
Os (0.747, 0.250, 0.019)

# 2
Theoretical powder XRD pattern of Nd2Tc3Os for Cu Kα, 1.54184 Å, from a PBE-relaxed structure.
Intensities are scaled so that the largest is 100.

Principal peaks in the range 5 to 70 degrees two-theta, sorted by position:
| d_spacing | two_theta | Rel. int. |
| --- | --- | --- |
| 2.815 | 31.79 | 22 |
| 2.660 | 33.69 | 63 |
| 2.423 | 37.11 | 54 |
| 2.416 | 37.21 | 27 |
| 2.371 | 37.95 | 27 |
| 2.322 | 38.78 | 100 |
| 2.316 | 38.89 | 50 |
| 2.276 | 39.59 | 19 |
| 2.192 | 41.19 | 60 |
| 1.487 | 62.46 | 24 |
| 1.462 | 63.64 | 23 |
| 1.408 | 66.42 | 37 |

Crystal structure
a = 9.198 Å, b = 5.329 Å, c = 5.654 Å
α = 90.00°, β = 123.01°, γ = 90.00°
Sites, in units of the cell vectors:
Nd (0.126, 0.000, 0.378)
Nd (0.374, 0.500, 0.622)
Nd (0.626, 0.500, 0.378)
Nd (0.874, 0.000, 0.622)
Tc (0.000, 0.500, 0.000)
Tc (0.250, 0.250, 0.000)
Tc (0.250, 0.750, 0.000)
Tc (0.500, 0.000, 0.000)
Tc (0.750, 0.250, 0.000)
Tc (0.750, 0.750, 0.000)
Os (0.000, 0.500, 0.500)
Os (0.500, 0.000, 0.500)

# 3
Theoretical powder XRD pattern of Nd5Te2Os2 for Cu Kα, 1.54184 Å, from a PBE-relaxed structure.
Intensities are scaled so that the largest is 100.

Principal peaks in the range 5 to 70 degrees two-theta, sorted by position:
| d_spacing | two_theta | Rel. int. |
| --- | --- | --- |
| 8.078 | 10.95 | 74 |
| 2.977 | 30.01 | 68 |
| 2.853 | 31.36 | 57 |
| 2.836 | 31.55 | 100 |
| 2.687 | 33.35 | 90 |
| 2.515 | 35.70 | 49 |
| 2.494 | 36.02 | 45 |
| 2.397 | 37.53 | 48 |
| 2.138 | 42.26 | 27 |
| 1.954 | 46.47 | 22 |
| 1.631 | 56.41 | 25 |
| 1.419 | 65.80 | 22 |

Crystal structure
a = 9.027 Å, b = 9.027 Å, c = 7.973 Å
α = 90.00°, β = 90.00°, γ = 53.03°
Sites, in units of the cell vectors:
Nd (0.000, 0.000, 0.000)
Nd (0.057, 0.702, 0.675)
Nd (0.202, 0.557, 0.175)
Nd (0.298, 0.943, 0.675)
Nd (0.443, 0.798, 0.175)
Nd (0.500, 0.500, 0.500)
Nd (0.557, 0.202, 0.825)
Nd (0.702, 0.057, 0.325)
Nd (0.798, 0.443, 0.825)
Nd (0.943, 0.298, 0.325)
Te (0.209, 0.209, 0.000)
Te (0.291, 0.291, 0.500)
Te (0.709, 0.709, 0.500)
Te (0.791, 0.791, 0.000)
Os (0.111, 0.889, 0.391)
Os (0.389, 0.611, 0.891)
Os (0.611, 0.389, 0.109)
Os (0.889, 0.111, 0.609)

# 4
Theoretical powder XRD pattern of Nd2ThOs9 for Cu Kα, 1.54184 Å, from a PBE-relaxed structure.
Intensities are scaled so that the largest is 100.

Principal peaks in the range 5 to 70 degrees two-theta, sorted by position:
| d_spacing | two_theta | Rel. int. |
| --- | --- | --- |
| 2.716 | 32.99 | 76 |
| 2.359 | 38.14 | 49 |
| 2.339 | 38.49 | 37 |
| 2.330 | 38.65 | 58 |
| 2.319 | 38.83 | 44 |
| 2.311 | 38.97 | 52 |
| 2.301 | 39.15 | 100 |
| 2.282 | 39.49 | 65 |
| 2.261 | 39.87 | 51 |
| 2.216 | 40.71 | 83 |
| 2.123 | 42.59 | 37 |
| 2.107 | 42.92 | 40 |

Crystal structure
a = 5.292 Å, b = 5.429 Å, c = 9.343 Å
α = 74.25°, β = 74.17°, γ = 60.87°
Sites, in units of the cell vectors:
Nd (0.144, 0.144, 0.077)
Nd (0.856, 0.856, 0.923)
Th (0.000, 0.000, 0.500)
Os (0.077, 0.594, 0.250)
Os (0.312, 0.395, 0.491)
Os (0.404, 0.950, 0.729)
Os (0.421, 0.419, 0.754)
Os (0.500, 0.500, 0.000)
Os (0.579, 0.581, 0.246)
Os (0.596, 0.050, 0.271)
Os (0.688, 0.605, 0.509)
Os (0.923, 0.406, 0.750)

# 5
Theoretical powder XRD pattern of Nd6TlOs2 for Cu Kα, 1.54184 Å, from a PBE-relaxed structure.
Intensities are scaled so that the largest is 100.

Principal peaks in the range 5 to 70 degrees two-theta, sorted by position:
| d_spacing | two_theta | Rel. int. |
| --- | --- | --- |
| 4.877 | 18.19 | 29 |
| 2.925 | 30.56 | 100 |
| 2.760 | 32.44 | 53 |
| 2.724 | 32.88 | 84 |
| 2.674 | 33.51 | 77 |
| 2.645 | 33.89 | 40 |
| 2.489 | 36.09 | 21 |
| 2.439 | 36.86 | 40 |
| 2.398 | 37.51 | 28 |
| 2.353 | 38.25 | 24 |
| 1.647 | 55.81 | 20 |
| 1.608 | 57.31 | 33 |

Crystal structure
a = 8.800 Å, b = 8.800 Å, c = 8.800 Å
α = 112.68°, β = 110.29°, γ = 105.52°
Sites, in units of the cell vectors:
Nd (0.030, 0.239, 0.791)
Nd (0.185, 0.281, 0.465)
Nd (0.185, 0.719, 0.904)
Nd (0.329, 0.017, 0.688)
Nd (0.329, 0.641, 0.312)
Nd (0.448, 0.239, 0.209)
Nd (0.552, 0.761, 0.791)
Nd (0.671, 0.359, 0.688)
Nd (0.671, 0.983, 0.312)
Nd (0.815, 0.281, 0.096)
Nd (0.815, 0.719, 0.535)
Nd (0.970, 0.761, 0.209)
Tl (0.000, 0.000, 0.000)
Tl (0.500, 0.500, 0.000)
Os (0.116, 0.616, 0.500)
Os (0.333, 0.000, 0.333)
Os (0.667, 0.000, 0.667)
Os (0.884, 0.384, 0.500)

# 6
Theoretical powder XRD pattern of Nd2UOs2 for Cu Kα, 1.54184 Å, from a PBE-relaxed structure.
Intensities are scaled so that the largest is 100.

Principal peaks in the range 5 to 70 degrees two-theta, sorted by position:
| d_spacing | two_theta | Rel. int. |
| --- | --- | --- |
| 5.157 | 17.20 | 68 |
| 2.864 | 31.23 | 46 |
| 2.830 | 31.61 | 77 |
| 2.589 | 34.64 | 51 |
| 2.514 | 35.71 | 86 |
| 2.442 | 36.80 | 59 |
| 2.392 | 37.61 | 100 |
| 2.263 | 39.83 | 42 |
| 1.909 | 47.64 | 37 |
| 1.651 | 55.66 | 29 |
| 1.455 | 63.99 | 35 |
| 1.425 | 65.52 | 29 |

Crystal structure
a = 5.830 Å, b = 5.830 Å, c = 8.050 Å
α = 98.15°, β = 98.15°, γ = 62.62°
Sites, in units of the cell vectors:
Nd (0.024, 0.274, 0.150)
Nd (0.274, 0.024, 0.650)
Nd (0.726, 0.976, 0.350)
Nd (0.976, 0.726, 0.850)
U (0.373, 0.627, 0.250)
U (0.627, 0.373, 0.750)
Os (0.247, 0.496, 0.492)
Os (0.496, 0.247, 0.992)
Os (0.504, 0.753, 0.008)
Os (0.753, 0.504, 0.508)